Record 1
This entry pairs a crystal structure of LiMg4Cd15 with its computed X-ray powder pattern. Radiation: Cu Kα X-rays. Structure: a DFT-relaxed cell (PBE, Alexandria).
Kinematic intensities with the Lorentz-polarization factor, no thermal factor.

Main lines, in order of rising 2θ (2θ from 10° to 80°):
d = 4.407 Å, 20.15°, intensity 13, (1 0 0)
d = 3.138 Å, 28.45°, intensity 11, (1 0 5)
d = 2.556 Å, 35.11°, intensity 100, (1 1 5)
d = 2.234 Å, 40.38°, intensity 17, (0 0 10)
d = 2.204 Å, 40.95°, intensity 32, (2 0 0)
d = 1.569 Å, 58.87°, intensity 21, (2 0 10)
d = 1.558 Å, 59.30°, intensity 10, (2 2 0)
d = 1.344 Å, 70.02°, intensity 12, (1 1 15)
d = 1.331 Å, 70.82°, intensity 24, (3 1 5)
d = 1.278 Å, 74.20°, intensity 10, (2 2 10)

Crystal structure
a = 4.407 Å, b = 4.407 Å, c = 22.338 Å
α = 90.00°, β = 90.00°, γ = 90.00°
Space group P4/mmm (No. 123)
Inequivalent atoms, fractional coordinates:
Li (0.000, 0.000, 0.000) (multiplicity 1)
Mg (0.000, 0.000, 0.198) (multiplicity 2)
Mg (0.000, 0.000, 0.399) (multiplicity 2)
Cd (0.000, 0.500, 0.097) (multiplicity 4)
Cd (0.000, 0.500, 0.298) (multiplicity 4)
Cd (0.000, 0.500, 0.500) (multiplicity 2)
Cd (0.500, 0.500, 0.000) (multiplicity 1)
Cd (0.500, 0.500, 0.198) (multiplicity 2)
Cd (0.500, 0.500, 0.399) (multiplicity 2)

Record 2
This entry pairs a crystal structure of Li3MgCd3 with its computed X-ray powder pattern. Radiation: Cu Kα X-rays. Structure: a DFT-relaxed cell (PBE, Alexandria).
Kinematic intensities with the Lorentz-polarization factor, no thermal factor.

Main lines, in order of rising 2θ (2θ from 10° to 80°):
d = 6.947 Å, 12.74°, intensity 51, (1 1 0)
d = 4.884 Å, 18.16°, intensity 18, (2 0 0)
d = 3.474 Å, 25.65°, intensity 100, (2 2 0)
d = 2.969 Å, 30.10°, intensity 31, (0 0 2)
d = 2.730 Å, 32.81°, intensity 18, (1 1 2)
d = 2.471 Å, 36.36°, intensity 29, (0 4 0)
d = 2.442 Å, 36.81°, intensity 24, (4 0 0)
d = 2.257 Å, 39.95°, intensity 87, (2 2 2)
d = 1.886 Å, 48.26°, intensity 20, (4 0 2)
d = 1.499 Å, 61.90°, intensity 18, (4 4 2)

Crystal structure
a = 9.767 Å, b = 9.883 Å, c = 5.937 Å
α = 90.00°, β = 90.00°, γ = 90.00°
Space group Cmmm (No. 65)
Inequivalent atoms, fractional coordinates:
Li (0.000, 0.198, 0.000) (multiplicity 4)
Li (0.000, 0.249, 0.500) (multiplicity 4)
Li (0.242, 0.000, 0.000) (multiplicity 4)
Mg (0.177, 0.000, 0.500) (multiplicity 4)
Cd (0.000, 0.500, 0.251) (multiplicity 4)
Cd (0.250, 0.250, 0.247) (multiplicity 8)

Record 3
This entry pairs a crystal structure of Li4Mg6Cd with its computed X-ray powder pattern. Radiation: Cu Kα X-rays. Structure: a DFT-relaxed cell (PBE, Alexandria).
Kinematic intensities with the Lorentz-polarization factor, no thermal factor.

Main lines, in order of rising 2θ (2θ from 10° to 80°):
d = 8.306 Å, 10.65°, intensity 100, (0 1 1)
d = 5.046 Å, 17.57°, intensity 34, (0 0 2)
d = 4.388 Å, 20.24°, intensity 26, (0 3 1)
d = 4.153 Å, 21.40°, intensity 19, (0 2 2)
d = 3.279 Å, 27.20°, intensity 12, (0 1 3)
d = 2.880 Å, 31.06°, intensity 20, (1 2 1)
d = 2.730 Å, 32.81°, intensity 16, (1 3 0)
d = 2.523 Å, 35.58°, intensity 20, (0 0 4)
d = 2.436 Å, 36.89°, intensity 14, (0 6 0)
d = 2.401 Å, 37.45°, intensity 65, (1 3 2)

Crystal structure
a = 3.296 Å, b = 14.619 Å, c = 10.093 Å
α = 90.00°, β = 90.00°, γ = 90.00°
Space group Imm2 (No. 44)
Inequivalent atoms, fractional coordinates:
Li (0.000, 0.000, 0.000) (multiplicity 2)
Li (0.000, 0.118, 0.742) (multiplicity 4)
Li (0.000, 0.500, 0.748) (multiplicity 2)
Mg (0.000, 0.191, 0.242) (multiplicity 4)
Mg (0.000, 0.336, 0.000) (multiplicity 4)
Mg (0.000, 0.338, 0.484) (multiplicity 4)
Cd (0.000, 0.000, 0.492) (multiplicity 2)

Record 4
This entry pairs a crystal structure of Li2Mg8Cd3 with its computed X-ray powder pattern. Radiation: Cu Kα X-rays. Structure: a DFT-relaxed cell (PBE, Alexandria).
Kinematic intensities with the Lorentz-polarization factor, no thermal factor.

Main lines, in order of rising 2θ (2θ from 10° to 80°):
d = 4.976 Å, 17.82°, intensity 73, (1 0 0)
d = 4.676 Å, 18.98°, intensity 98, (0 1 1)
d = 4.356 Å, 20.39°, intensity 39, (1 1 0)
d = 4.291 Å, 20.70°, intensity 47, (1 1 1)
d = 2.660 Å, 33.70°, intensity 38, (1 2 1)
d = 2.508 Å, 35.80°, intensity 100, (1 1 -3)
d = 2.488 Å, 36.10°, intensity 48, (2 0 0)
d = 2.424 Å, 37.09°, intensity 47, (1 1 4)
d = 2.386 Å, 37.71°, intensity 42, (1 -1 3)
d = 2.210 Å, 40.83°, intensity 37, (2 2 1)

Crystal structure
a = 5.357 Å, b = 5.444 Å, c = 10.573 Å
α = 83.98°, β = 79.76°, γ = 70.03°
Space group P-1 (No. 2)
Inequivalent atoms, fractional coordinates:
Li (0.086, 0.403, 0.127) (multiplicity 2)
Mg (0.029, 0.260, 0.416) (multiplicity 2)
Mg (0.421, 0.734, 0.746) (multiplicity 2)
Mg (0.470, 0.207, 0.893) (multiplicity 2)
Mg (0.478, 0.245, 0.580) (multiplicity 2)
Cd (0.000, 0.000, 0.000) (multiplicity 1)
Cd (0.053, 0.783, 0.289) (multiplicity 2)

Record 5
This entry pairs a crystal structure of Li4Mg3Cd2 with its computed X-ray powder pattern. Radiation: Cu Kα X-rays. Structure: a DFT-relaxed cell (PBE, Alexandria).
Kinematic intensities with the Lorentz-polarization factor, no thermal factor.

Main lines, in order of rising 2θ (2θ from 10° to 80°):
d = 4.381 Å, 20.27°, intensity 20, (0 0 2)
d = 4.129 Å, 21.52°, intensity 23, (2 0 0)
d = 3.735 Å, 23.83°, intensity 89, (1 1 -1)
d = 3.004 Å, 29.74°, intensity 34, (2 0 2)
d = 2.384 Å, 37.73°, intensity 100, (3 1 0)
d = 2.095 Å, 43.18°, intensity 11, (3 1 -2)
d = 2.010 Å, 45.11°, intensity 14, (4 0 -1)
d = 1.687 Å, 54.38°, intensity 13, (2 2 -3)
d = 1.537 Å, 60.22°, intensity 10, (4 2 -1)
d = 1.377 Å, 68.09°, intensity 22, (3 3 0)

Crystal structure
a = 8.251 Å, b = 4.771 Å, c = 8.761 Å
α = 90.00°, β = 90.19°, γ = 90.00°
Space group C2/m (No. 12)
Inequivalent atoms, fractional coordinates:
Li (0.000, 0.000, 0.170) (multiplicity 4)
Li (0.167, 0.500, 0.603) (multiplicity 4)
Mg (0.000, 0.000, 0.500) (multiplicity 2)
Mg (0.167, 0.500, 0.927) (multiplicity 4)
Cd (0.167, 0.500, 0.273) (multiplicity 4)

Record 6
This entry pairs a crystal structure of Li2Mg5Cd with its computed X-ray powder pattern. Radiation: Cu Kα X-rays. Structure: a DFT-relaxed cell (PBE, Alexandria).
Kinematic intensities with the Lorentz-polarization factor, no thermal factor.

Main lines, in order of rising 2θ (2θ from 10° to 80°):
d = 6.305 Å, 14.05°, intensity 60, (0 2 0)
d = 5.620 Å, 15.77°, intensity 95, (1 1 0)
d = 4.316 Å, 20.58°, intensity 52, (0 0 1)
d = 3.562 Å, 25.00°, intensity 28, (0 2 1)
d = 3.423 Å, 26.03°, intensity 54, (1 1 1)
d = 2.546 Å, 35.25°, intensity 100, (0 4 1)
d = 2.539 Å, 35.36°, intensity 99, (2 0 1)
d = 2.224 Å, 40.55°, intensity 66, (2 4 0)
d = 2.158 Å, 41.86°, intensity 31, (0 0 2)
d = 1.549 Å, 59.70°, intensity 40, (2 4 2)

Crystal structure
a = 6.278 Å, b = 12.610 Å, c = 4.316 Å
α = 90.00°, β = 90.00°, γ = 90.00°
Space group Pbam (No. 55)
Inequivalent atoms, fractional coordinates:
Li (0.242, 0.124, 0.000) (multiplicity 4)
Mg (0.000, 0.000, 0.500) (multiplicity 2)
Mg (0.015, 0.745, 0.500) (multiplicity 4)
Mg (0.239, 0.379, 0.000) (multiplicity 4)
Cd (0.000, 0.500, 0.500) (multiplicity 2)

Record 7
This entry pairs a crystal structure of Li4Mg2Cd3 with its computed X-ray powder pattern. Radiation: Cu Kα X-rays. Structure: a DFT-relaxed cell (PBE, Alexandria).
Kinematic intensities with the Lorentz-polarization factor, no thermal factor.

Main lines, in order of rising 2θ (2θ from 10° to 80°):
d = 4.710 Å, 18.84°, intensity 97, (2 0 0)
d = 3.580 Å, 24.87°, intensity 100, (1 1 0)
d = 3.042 Å, 29.36°, intensity 32, (2 0 -3)
d = 3.008 Å, 29.70°, intensity 32, (0 0 3)
d = 2.463 Å, 36.47°, intensity 67, (1 1 -3)
d = 2.438 Å, 36.86°, intensity 64, (3 1 0)
d = 2.261 Å, 39.88°, intensity 26, (4 0 -3)
d = 2.218 Å, 40.67°, intensity 24, (2 0 3)
d = 2.196 Å, 41.10°, intensity 26, (3 1 -3)
d = 2.170 Å, 41.62°, intensity 25, (1 1 3)

Crystal structure
a = 10.006 Å, b = 3.870 Å, c = 9.584 Å
α = 90.00°, β = 109.70°, γ = 90.00°
Space group C2/m (No. 12)
Inequivalent atoms, fractional coordinates:
Li (0.161, 0.000, 0.048) (multiplicity 4)
Li (0.163, 0.000, 0.392) (multiplicity 4)
Mg (0.168, 0.000, 0.725) (multiplicity 4)
Cd (0.000, 0.500, 0.500) (multiplicity 2)
Cd (0.008, 0.500, 0.166) (multiplicity 4)

Record 8
This entry pairs a crystal structure of LiMg6Cd2 with its computed X-ray powder pattern. Radiation: Cu Kα X-rays. Structure: a DFT-relaxed cell (PBE, Alexandria).
Kinematic intensities with the Lorentz-polarization factor, no thermal factor.

Main lines, in order of rising 2θ (2θ from 10° to 80°):
d = 7.847 Å, 11.28°, intensity 53, (0 2 0)
d = 4.489 Å, 19.78°, intensity 68, (0 0 1)
d = 4.417 Å, 20.10°, intensity 41, (1 1 -1)
d = 3.566 Å, 24.97°, intensity 76, (1 3 0)
d = 3.456 Å, 25.78°, intensity 41, (1 3 -1)
d = 2.785 Å, 32.14°, intensity 38, (2 0 -1)
d = 2.616 Å, 34.28°, intensity 63, (0 6 0)
d = 2.535 Å, 35.41°, intensity 41, (1 1 -2)
d = 2.406 Å, 37.38°, intensity 100, (1 3 1)
d = 2.305 Å, 39.08°, intensity 53, (1 3 -2)

Crystal structure
a = 5.582 Å, b = 15.694 Å, c = 5.140 Å
α = 90.00°, β = 119.15°, γ = 90.00°
Space group C2/m (No. 12)
Inequivalent atoms, fractional coordinates:
Li (0.000, 0.000, 0.000) (multiplicity 2)
Mg (0.173, 0.336, 0.833) (multiplicity 8)
Mg (0.177, 0.500, 0.341) (multiplicity 4)
Cd (0.000, 0.162, 0.500) (multiplicity 4)

Record 9
This entry pairs a crystal structure of Li3Mg3Cd with its computed X-ray powder pattern. Radiation: Cu Kα X-rays. Structure: a DFT-relaxed cell (PBE, Alexandria).
Kinematic intensities with the Lorentz-polarization factor, no thermal factor.

Main lines, in order of rising 2θ (2θ from 10° to 80°):
d = 7.157 Å, 12.37°, intensity 15, (1 0 0)
d = 4.132 Å, 21.51°, intensity 46, (1 1 0)
d = 4.042 Å, 21.99°, intensity 100, (1 0 1)
d = 3.579 Å, 24.88°, intensity 20, (2 0 0)
d = 2.705 Å, 33.12°, intensity 21, (2 1 0)
d = 2.449 Å, 36.70°, intensity 17, (0 0 2)
d = 2.368 Å, 38.00°, intensity 90, (2 1 1)
d = 2.107 Å, 42.93°, intensity 15, (1 1 2)
d = 2.066 Å, 43.82°, intensity 17, (2 2 0)
d = 1.398 Å, 66.95°, intensity 16, (2 1 3)

Crystal structure
a = 8.2642 Å, b = 8.2642 Å, c = 4.8975 Å
α = 90.00°, β = 90.00°, γ = 120.00°
Space group P6_3/mmc (No. 194)
Inequivalent atoms, fractional coordinates:
Li (0.1030, 0.5515, 0.2500) (multiplicity 6)
Mg (0.1325, 0.2650, 0.7500) (multiplicity 6)
Cd (0.3333, 0.6667, 0.7500) (multiplicity 2)

Record 10
This entry pairs a crystal structure of Li5Mg2Cd3 with its computed X-ray powder pattern. Radiation: Cu Kα X-rays. Structure: a DFT-relaxed cell (PBE, Alexandria).
Kinematic intensities with the Lorentz-polarization factor, no thermal factor.

Main lines, in order of rising 2θ (2θ from 10° to 80°):
d = 6.860 Å, 12.90°, intensity 33, (1 1 0)
d = 4.642 Å, 19.12°, intensity 37, (0 2 1)
d = 4.408 Å, 20.15°, intensity 100, (1 1 1)
d = 3.953 Å, 22.49°, intensity 30, (1 1 -2)
d = 3.624 Å, 24.56°, intensity 68, (2 2 -1)
d = 3.453 Å, 25.80°, intensity 43, (1 3 -1)
d = 2.423 Å, 37.11°, intensity 26, (3 1 -3)
d = 2.407 Å, 37.36°, intensity 36, (2 4 0)
d = 2.379 Å, 37.81°, intensity 35, (2 0 2)
d = 2.321 Å, 38.80°, intensity 30, (0 4 2)

Crystal structure
a = 9.334 Å, b = 11.701 Å, c = 8.405 Å
α = 90.00°, β = 114.87°, γ = 90.00°
Space group C2/c (No. 15)
Inequivalent atoms, fractional coordinates:
Li (0.000, 0.004, 0.250) (multiplicity 4)
Li (0.000, 0.251, 0.250) (multiplicity 4)
Li (0.000, 0.483, 0.250) (multiplicity 4)
Li (0.195, 0.369, 0.660) (multiplicity 8)
Mg (0.202, 0.380, 0.040) (multiplicity 8)
Cd (0.000, 0.237, 0.750) (multiplicity 4)
Cd (0.175, 0.106, 0.577) (multiplicity 8)

Record 11
This entry pairs a crystal structure of Li3Mg2Cd4 with its computed X-ray powder pattern. Radiation: Cu Kα X-rays. Structure: a DFT-relaxed cell (PBE, Alexandria).
Kinematic intensities with the Lorentz-polarization factor, no thermal factor.

Main lines, in order of rising 2θ (2θ from 10° to 80°):
d = 4.417 Å, 20.10°, intensity 30, (0 1 1)
d = 3.570 Å, 24.94°, intensity 27, (0 1 2)
d = 3.510 Å, 25.37°, intensity 45, (1 1 -1)
d = 2.785 Å, 32.14°, intensity 16, (1 0 2)
d = 2.477 Å, 36.27°, intensity 100, (1 1 3)
d = 2.287 Å, 39.40°, intensity 20, (2 1 0)
d = 2.155 Å, 41.92°, intensity 17, (0 1 -3)
d = 2.016 Å, 44.95°, intensity 20, (0 2 3)
d = 1.568 Å, 58.88°, intensity 12, (2 0 3)
d = 1.354 Å, 69.41°, intensity 14, (3 2 3)

Crystal structure
a = 4.574 Å, b = 5.110 Å, c = 8.867 Å
α = 76.56°, β = 89.99°, γ = 63.42°
Space group P-1 (No. 2)
Inequivalent atoms, fractional coordinates:
Li (0.000, 0.000, 0.000) (multiplicity 1)
Li (0.340, 0.321, 0.438) (multiplicity 2)
Mg (0.328, 0.347, 0.774) (multiplicity 2)
Cd (0.014, 0.972, 0.340) (multiplicity 2)
Cd (0.336, 0.327, 0.113) (multiplicity 2)

Record 12
This entry pairs a crystal structure of Li4MgCd4 with its computed X-ray powder pattern. Radiation: Cu Kα X-rays. Structure: a DFT-relaxed cell (PBE, Alexandria).
Kinematic intensities with the Lorentz-polarization factor, no thermal factor.

Main lines, in order of rising 2θ (2θ from 10° to 80°):
d = 5.780 Å, 15.33°, intensity 59, (0 0 2)
d = 5.229 Å, 16.95°, intensity 84, (1 0 1)
d = 4.116 Å, 21.59°, intensity 93, (1 0 2)
d = 2.842 Å, 31.48°, intensity 34, (2 0 1)
d = 2.592 Å, 34.60°, intensity 29, (1 0 4)
d = 2.557 Å, 35.09°, intensity 67, (2 1 1)
d = 2.388 Å, 37.67°, intensity 30, (2 1 2)
d = 2.333 Å, 38.59°, intensity 100, (2 0 3)
d = 2.073 Å, 43.66°, intensity 31, (2 2 0)
d = 1.927 Å, 47.17°, intensity 25, (0 0 6)

Crystal structure
a = 5.864 Å, b = 5.864 Å, c = 11.559 Å
α = 90.00°, β = 90.00°, γ = 90.00°
Space group P4_2/nmc (No. 137, origin choice 2)
Inequivalent atoms, fractional coordinates:
Li (0.013, 0.250, 0.016) (multiplicity 8)
Mg (0.250, 0.750, 0.250) (multiplicity 2)
Cd (0.014, 0.250, 0.334) (multiplicity 8)